[1]
Diffraction record for SiTcIrAu2C. The X-ray powder pattern is theoretical, not measured: it uses a DFT-relaxed cell (PBE, Alexandria) and Cu Ka.
Neutral-atom scattering factors, no anomalous dispersion.

Top 10 peaks for 10° ≤ 2θ ≤ 90°, in order of rising 2θ:
Position (°2θ)	I (rel.)
25.96	17
27.25	34
27.63	74
34.94	20
36.79	43
36.97	100
37.57	24
42.46	54
42.72	21
50.81	30

```
SiTcIrAu2C
1.0
5.146 0.000 0.000
0.000 2.803 0.000
-2.165 0.000 6.546
Si Tc Ir Au C
1 1 1 2 1
direct
0.000 0.000 0.000
0.885 0.500 0.275
0.019 0.500 0.711
0.408 0.000 0.351
0.499 0.000 0.924
0.868 0.000 0.485
```

---

[2]
Diffraction record for La2PmPr4Cd2. The X-ray powder pattern is theoretical, not measured: it uses a DFT-relaxed cell (PBE, Alexandria) and Cu Ka.
Neutral-atom scattering factors, no anomalous dispersion.

Top 10 peaks for 10° ≤ 2θ ≤ 90°, in order of rising 2θ:
Position (°2θ)	I (rel.)
28.18	39
28.37	40
28.69	46
31.01	88
31.35	100
31.67	52
32.43	94
33.35	69
33.95	45
57.41	23

```
La2PmPr4Cd2
1.0
6.386 0.000 0.000
3.171 6.121 0.000
1.333 3.009 7.769
La Pm Pr Cd
2 1 4 2
direct
0.196 0.014 0.329
0.804 0.986 0.671
0.000 0.500 0.500
0.301 0.967 0.881
0.402 0.517 0.727
0.598 0.483 0.273
0.699 0.033 0.119
0.131 0.551 0.093
0.869 0.449 0.907
```

---

[3]
Diffraction record for Dy2GaGe2Ru5. The X-ray powder pattern is theoretical, not measured: it uses a DFT-relaxed cell (PBE, Alexandria) and Cu Ka.
Neutral-atom scattering factors, no anomalous dispersion.

Top 10 peaks for 10° ≤ 2θ ≤ 90°, in order of rising 2θ:
Position (°2θ)	I (rel.)
33.53	26
37.05	74
38.17	30
39.27	100
40.32	15
42.39	29
45.34	16
55.11	24
66.04	20
68.28	21

```
Dy2GaGe2Ru5
1.0
10.004 0.000 0.000
0.000 10.004 0.000
0.000 0.000 3.332
Dy Ga Ge Ru
4 2 4 10
direct
0.172 0.328 0.000
0.328 0.828 0.000
0.672 0.172 0.000
0.828 0.672 0.000
0.000 0.000 0.000
0.500 0.500 0.000
0.130 0.630 0.000
0.370 0.130 0.000
0.630 0.870 0.000
0.870 0.370 0.000
0.000 0.500 0.500
0.063 0.799 0.500
0.201 0.063 0.500
0.299 0.563 0.500
0.437 0.299 0.500
0.500 0.000 0.500
0.563 0.701 0.500
0.701 0.437 0.500
0.799 0.937 0.500
0.937 0.201 0.500
```

---

[4]
Diffraction record for CaPdF5. The X-ray powder pattern is theoretical, not measured: it uses a DFT-relaxed cell (PBE, Alexandria) and Cu Ka.
Neutral-atom scattering factors, no anomalous dispersion.

Top 10 peaks for 10° ≤ 2θ ≤ 90°, in order of rising 2θ:
Position (°2θ)	I (rel.)
17.38	54
21.33	92
23.67	38
25.25	100
27.63	54
35.17	24
42.95	28
43.44	41
47.44	29
50.92	27

```
CaPdF5
1.0
-2.106 3.228 4.165
2.106 -3.228 4.165
2.106 3.228 -4.165
Ca Pd F
1 1 5
direct
0.000 0.000 0.000
0.500 0.500 0.000
0.191 0.500 0.691
0.263 0.263 0.000
0.500 0.000 0.500
0.737 0.737 0.000
0.809 0.500 0.309
```

---

[5]
Diffraction record for K3Ce3HoS8. The X-ray powder pattern is theoretical, not measured: it uses a DFT-relaxed cell (PBE, Alexandria) and Cu Ka.
Neutral-atom scattering factors, no anomalous dispersion.

Top 10 peaks for 10° ≤ 2θ ≤ 90°, in order of rising 2θ:
Position (°2θ)	I (rel.)
11.91	92
23.95	15
25.20	30
26.14	29
29.66	100
37.80	24
41.04	34
43.80	34
45.55	20
53.79	17

```
K3Ce3HoS8
1.0
4.134 2.387 7.433
-4.134 2.387 7.433
0.000 -4.773 7.433
K Ce Ho S
3 3 1 8
direct
0.000 0.500 0.500
0.500 0.000 0.500
0.500 0.500 0.000
0.000 0.000 0.500
0.000 0.500 0.000
0.500 0.000 0.000
0.500 0.500 0.500
0.235 0.235 0.235
0.238 0.729 0.729
0.271 0.271 0.762
0.271 0.762 0.271
0.729 0.238 0.729
0.729 0.729 0.238
0.762 0.271 0.271
0.765 0.765 0.765
```

---

[6]
Diffraction record for Hf4Al. The X-ray powder pattern is theoretical, not measured: it uses a DFT-relaxed cell (PBE, Alexandria) and Cu Ka.
Neutral-atom scattering factors, no anomalous dispersion.

Top 10 peaks for 10° ≤ 2θ ≤ 90°, in order of rising 2θ:
Position (°2θ)	I (rel.)
27.46	20
30.28	49
34.69	100
35.00	39
41.33	32
43.36	13
56.89	21
57.87	18
61.45	13
70.90	13

```
Hf4Al
1.0
-4.174 4.174 3.294
4.174 -4.174 3.294
4.174 4.174 -3.294
Hf Al
8 2
direct
0.231 0.290 0.559
0.231 0.671 0.941
0.290 0.231 0.059
0.329 0.769 0.559
0.671 0.231 0.441
0.710 0.769 0.941
0.769 0.329 0.059
0.769 0.710 0.441
0.125 0.875 0.250
0.875 0.125 0.750
```

---

[7]
Diffraction record for BaCdAgHg. The X-ray powder pattern is theoretical, not measured: it uses a DFT-relaxed cell (PBE, Alexandria) and Cu Ka.
Neutral-atom scattering factors, no anomalous dispersion.

Top 10 peaks for 10° ≤ 2θ ≤ 90°, in order of rising 2θ:
Position (°2θ)	I (rel.)
15.90	28
21.18	24
29.69	86
33.85	53
35.89	100
39.47	18
47.21	16
50.16	17
60.72	22
64.50	18

```
BaCdAgHg
1.0
4.333 -2.503 0.000
4.333 2.503 0.000
-2.904 0.000 5.575
Ba Cd Ag Hg
1 1 1 1
direct
0.000 0.000 0.000
0.526 0.526 0.578
0.205 0.205 0.617
0.790 0.790 0.369
```

---

[8]
Diffraction record for Pr6Tl6Sn. The X-ray powder pattern is theoretical, not measured: it uses a DFT-relaxed cell (PBE, Alexandria) and Cu Ka.
Neutral-atom scattering factors, no anomalous dispersion.

Top 10 peaks for 10° ≤ 2θ ≤ 90°, in order of rising 2θ:
Position (°2θ)	I (rel.)
16.40	23
30.90	48
31.48	38
33.14	31
35.18	100
45.95	25
54.97	26
60.53	14
65.71	26
66.96	16

```
Pr6Tl6Sn
1.0
6.682 0.000 0.000
-3.341 5.787 0.000
0.000 0.000 10.812
Pr Tl Sn
6 6 1
direct
0.000 0.000 0.204
0.000 0.000 0.796
0.333 0.667 0.000
0.333 0.667 0.500
0.667 0.333 0.000
0.667 0.333 0.500
0.000 0.500 0.247
0.000 0.500 0.753
0.500 0.000 0.247
0.500 0.000 0.753
0.500 0.500 0.247
0.500 0.500 0.753
0.000 0.000 0.500
```